Entry 1:
Calculated PXRD pattern of RbZr12Te16 for Cu Kα, 1.54184 Å, from a PBE-relaxed structure.

Structural model:
```
RbZr12Te16
1.0
11.189 0.000 0.000
-5.594 9.690 0.000
0.000 0.000 15.864
Rb Zr Te
2 24 32
Direct
0.000 0.000 0.139
0.000 0.000 0.861
0.123 0.624 0.000
0.123 0.632 0.500
0.124 0.629 0.252
0.124 0.629 0.748
0.368 0.491 0.500
0.371 0.495 0.252
0.371 0.495 0.748
0.376 0.499 0.000
0.485 0.123 0.124
0.485 0.123 0.876
0.489 0.124 0.376
0.489 0.124 0.624
0.501 0.877 0.000
0.505 0.876 0.252
0.505 0.876 0.748
0.509 0.877 0.500
0.636 0.511 0.376
0.636 0.511 0.624
0.638 0.515 0.124
0.638 0.515 0.876
0.876 0.364 0.376
0.876 0.364 0.624
0.877 0.362 0.124
0.877 0.362 0.876
0.055 0.343 0.500
0.056 0.335 0.000
0.056 0.341 0.252
0.056 0.341 0.748
0.279 0.944 0.000
0.285 0.944 0.252
0.285 0.944 0.748
0.288 0.945 0.500
0.333 0.667 0.125
0.333 0.667 0.376
0.333 0.667 0.624
0.333 0.667 0.875
0.346 0.292 0.376
0.346 0.292 0.624
0.350 0.298 0.124
0.350 0.298 0.876
0.657 0.712 0.500
0.659 0.715 0.252
0.659 0.715 0.748
0.665 0.721 0.000
0.667 0.333 0.000
0.667 0.333 0.250
0.667 0.333 0.500
0.667 0.333 0.750
0.702 0.053 0.124
0.702 0.053 0.876
0.708 0.054 0.376
0.708 0.054 0.624
0.946 0.654 0.376
0.946 0.654 0.624
0.947 0.650 0.124
0.947 0.650 0.876
```

Most intense lines, 2θ = 10–90°, low angle first:
| (hkl) | 2theta | d_spacing | Rel. int. |
| --- | --- | --- | --- |
| 3 0 0 | 27.6 | 3.232 | 57 |
| 2 0 4 | 29.1 | 3.069 | 36 |
| 1 3 0 | 33.3 | 2.689 | 100 |
| 2 2 4 | 39.4 | 2.286 | 40 |
| 0 0 8 | 45.8 | 1.983 | 16 |
| 2 3 4 | 46.8 | 1.939 | 31 |
| 3 0 8 | 54.3 | 1.689 | 14 |
| 1 3 8 | 57.8 | 1.596 | 16 |
| 5 0 8 | 67.6 | 1.385 | 14 |
| 5 3 4 | 72.3 | 1.307 | 24 |

=====

Entry 2:
Calculated PXRD pattern of Rb3Th for Cu Kα, 1.54184 Å, from a PBE-relaxed structure.

Structural model:
```
Rb3Th
1.0
6.266 0.000 0.000
0.000 6.266 0.000
0.000 0.000 6.266
Rb Th
3 1
Direct
0.000 0.000 0.500
0.000 0.500 0.000
0.500 0.000 0.000
0.500 0.500 0.500
```

Most intense lines, 2θ = 10–90°, low angle first:
| (hkl) | 2theta | d_spacing | Rel. int. |
| --- | --- | --- | --- |
| 1 0 0 | 14.1 | 6.266 | 20 |
| 1 1 0 | 20.0 | 4.431 | 18 |
| 1 1 1 | 24.6 | 3.618 | 100 |
| 2 0 0 | 28.5 | 3.133 | 52 |
| 2 2 0 | 40.7 | 2.215 | 40 |
| 3 1 1 | 48.2 | 1.889 | 49 |
| 2 2 2 | 50.5 | 1.809 | 14 |
| 3 3 1 | 64.9 | 1.438 | 20 |
| 4 2 0 | 66.8 | 1.401 | 18 |
| 5 1 1 | 79.5 | 1.206 | 15 |